1.
GaFeReH: theoretical PXRD pattern (Cu Kα (weighted mean of Kα1 and Kα2)), based on a cell relaxed with GGA-PBE.
Lines closer than 0.1° are merged.

Cell and atoms:
abc: 2.8053 2.8053 19.9526
angles: 90.00 90.00 120.00
Space group R3m (No. 160, hexagonal axes)
Inequivalent atoms, fractional coordinates:
Ga 0.0000 0.0000 0.0000 x3
Fe 0.0000 0.0000 0.4304 x3
Re 0.0000 0.0000 0.8619 x3
H 0.0000 0.0000 0.5783 x3

The 10 most intense peaks (2θ from 5° to 70°), by angle:
13.3 deg, I = 81, hkl 0 0 3
26.8 deg, I = 42, hkl 0 0 6
37.3 deg, I = 60, hkl 1 0 1
38.1 deg, I = 100, hkl 0 1 2
40.7 deg, I = 32, hkl 0 0 9
41.3 deg, I = 17, hkl 1 0 4
43.6 deg, I = 59, hkl 0 1 5
49.3 deg, I = 83, hkl 1 0 7
52.6 deg, I = 25, hkl 0 1 8
66.7 deg, I = 33, hkl 1 1 0


2.
Ho2Ga3Fe: theoretical PXRD pattern (Cu Kα (weighted mean of Kα1 and Kα2)), based on a cell relaxed with GGA-PBE.
Lines closer than 0.1° are merged.

Cell and atoms:
abc: 10.3314 4.2983 7.0988
angles: 90.00 132.44 90.00
Space group Cm (No. 8)
Inequivalent atoms, fractional coordinates:
Ho 0.0000 0.0000 0.0000 x2
Ho 0.0965 0.0000 0.5954 x2
Ga 0.2153 0.5000 0.3899 x2
Ga 0.3771 0.0000 0.1756 x2
Ga 0.4011 0.0000 0.6131 x2
Fe 0.2132 0.5000 0.0088 x2

The 10 most intense peaks (2θ from 5° to 70°), by angle:
23.8 deg, I = 33, hkl 1 1 0
33.7 deg, I = 29, hkl 1 1 1
34.0 deg, I = 41, hkl 3 1 -1
34.2 deg, I = 28, hkl 0 0 2
34.7 deg, I = 100, hkl 1 1 -2
34.8 deg, I = 35, hkl 4 0 -2
35.0 deg, I = 70, hkl 3 1 -2
41.3 deg, I = 65, hkl 3 1 0
42.0 deg, I = 50, hkl 0 2 0
67.2 deg, I = 20, hkl 7 1 -3


3.
Ho3GaFe8: theoretical PXRD pattern (Cu Kα (weighted mean of Kα1 and Kα2)), based on a cell relaxed with GGA-PBE.
Lines closer than 0.1° are merged.

Cell and atoms:
abc: 5.0302 5.0302 24.5957
angles: 90.00 90.00 120.00
Space group R3m (No. 160, hexagonal axes)
Inequivalent atoms, fractional coordinates:
Ho 0.0000 0.0000 0.0000 x3
Ho 0.0000 0.0000 0.1275 x3
Ho 0.0000 0.0000 0.6201 x3
Ga 0.0000 0.0000 0.4970 x3
Fe 0.0000 0.0000 0.3126 x3
Fe 0.0000 0.0000 0.8120 x3
Fe 0.0001 0.5000 0.5602 x9
Fe 0.0023 0.5012 0.0642 x9

The 10 most intense peaks (2θ from 5° to 70°), by angle:
20.7 deg, I = 3, hkl 1 0 1
21.7 deg, I = 13, hkl 0 0 6
27.3 deg, I = 3, hkl 0 1 5
35.7 deg, I = 62, hkl 1 1 0
42.2 deg, I = 100, hkl 2 0 2
44.1 deg, I = 16, hkl 0 2 4
56.4 deg, I = 3, hkl 1 2 2
64.2 deg, I = 17, hkl 3 0 0
64.3 deg, I = 5, hkl 1 0 16
68.6 deg, I = 28, hkl 3 0 6